(1)
KLiLuF5: computed powder diffraction line list (a wavelength of 1.5418 Å), based on a cell relaxed with GGA-PBE.
Peak positions follow from Bragg's law for the DFT cell and can differ from measured ones.

```
data_KLiLuF5
_cell_length_a 6.4164
_cell_length_b 11.7245
_cell_length_c 6.2394
_cell_angle_alpha 90.00
_cell_angle_beta 114.21
_cell_angle_gamma 90.00
_space_group_name_H-M_alt 'P 1 21/c 1'
_space_group_IT_number 14
_space_group_name_Hall '-P 2ybc'
loop_
_atom_site_label
_atom_site_type_symbol
_atom_site_fract_x
_atom_site_fract_y
_atom_site_fract_z
K1 K 0.0527 0.1506 0.0375
Li1 Li 0.4409 0.7454 0.5374
Lu1 Lu 0.3185 0.5021 0.1800
F1 F 0.0467 0.5069 0.8305
F2 F 0.2776 0.6908 0.2218
F3 F 0.2850 0.1714 0.7730
F4 F 0.3360 0.5307 0.5470
F5 F 0.4643 0.1030 0.4669
```

Top 12 peaks for 10 to 80 degrees two-theta, by intensity:
Position (°2θ)  Rel. int.  h k l
15.12  1000  0 2 0
27.04  590  1 1 1
18.34  364  1 1 -1
29.03  360  2 1 -1
28.35  228  1 3 -1
46.51  226  0 6 0
28.72  213  1 0 -2
30.51  182  0 4 0
32.60  165  1 2 -2
48.62  143  0 1 3
27.69  142  0 3 1
17.32  138  0 1 1

---

(2)
Ga3Ru: computed powder diffraction line list (a wavelength of 1.5418 Å), based on a cell relaxed with GGA-PBE.
Peak positions follow from Bragg's law for the DFT cell and can differ from measured ones.

```
data_Ga3Ru
_cell_length_a 6.5270
_cell_length_b 6.5270
_cell_length_c 6.8065
_cell_angle_alpha 90.00
_cell_angle_beta 90.00
_cell_angle_gamma 90.00
_space_group_name_H-M_alt 'P 42/m n m'
_space_group_IT_number 136
_space_group_name_Hall '-P 4n 2n'
loop_
_atom_site_label
_atom_site_type_symbol
_atom_site_fract_x
_atom_site_fract_y
_atom_site_fract_z
Ga1 Ga 0.0000 0.5000 0.0000
Ga2 Ga 0.1550 0.1550 0.2354
Ru1 Ru 0.1594 0.8406 0.0000
```

Top 12 peaks for 10 to 80 degrees two-theta, by intensity:
Position (°2θ)  Rel. int.  h k l
40.72  1000  2 1 2
43.86  489  3 1 0
18.84  411  1 0 1
23.29  253  1 1 1
71.91  203  3 1 4
32.69  203  1 1 2
43.68  150  3 0 1
53.88  147  0 0 4
64.97  146  4 1 2
38.21  116  2 0 2
44.50  108  1 1 3
39.03  97  2 2 0

---

(3)
LaMg3: computed powder diffraction line list (a wavelength of 1.5418 Å), based on a cell relaxed with GGA-PBE.
Peak positions follow from Bragg's law for the DFT cell and can differ from measured ones.

```
data_LaMg3
_cell_length_a 4.8263
_cell_length_b 4.8263
_cell_length_c 4.8263
_cell_angle_alpha 90.00
_cell_angle_beta 90.00
_cell_angle_gamma 90.00
_space_group_name_H-M_alt 'P m -3 m'
_space_group_IT_number 221
_space_group_name_Hall '-P 4 2 3'
loop_
_atom_site_label
_atom_site_type_symbol
_atom_site_fract_x
_atom_site_fract_y
_atom_site_fract_z
La1 La 0.0000 0.0000 0.0000
Mg1 Mg 0.0000 0.5000 0.5000
```

Top 12 peaks for 10 to 80 degrees two-theta, by intensity:
Position (°2θ)  Rel. int.  h k l
32.12  1000  1 1 1
18.38  785  1 0 0
26.11  681  1 1 0
37.26  499  2 0 0
63.98  397  3 1 1
41.85  389  2 1 0
53.72  341  2 2 0
46.07  296  2 1 1
57.27  194  3 0 0
73.41  149  3 2 1
60.68  130  3 1 0
67.19  114  2 2 2

---

(4)
NaNdTi2O6: computed powder diffraction line list (a wavelength of 1.5418 Å), based on a cell relaxed with GGA-PBE.
Peak positions follow from Bragg's law for the DFT cell and can differ from measured ones.

```
data_NaNdTi2O6
_cell_length_a 7.7353
_cell_length_b 5.5085
_cell_length_c 5.4725
_cell_angle_alpha 90.00
_cell_angle_beta 90.00
_cell_angle_gamma 90.00
_space_group_name_H-M_alt 'P m n 21'
_space_group_IT_number 31
_space_group_name_Hall 'P 2ac -2'
loop_
_atom_site_label
_atom_site_type_symbol
_atom_site_fract_x
_atom_site_fract_y
_atom_site_fract_z
Na1 Na 0.0000 0.2345 0.0000
Nd1 Nd 0.0000 0.7158 0.5124
Ti1 Ti 0.2492 0.2450 0.5049
O1 O 0.0000 0.2636 0.4385
O2 O 0.0000 0.7606 0.0804
O3 O 0.2109 0.9667 0.7189
O4 O 0.2137 0.4762 0.7751
```

Top 12 peaks for 10 to 80 degrees two-theta, by intensity:
Position (°2θ)  Rel. int.  h k l
32.69  1000  2 1 1
19.83  764  1 0 1
38.56  291  3 0 1
46.80  285  0 2 2
58.36  268  2 1 3
32.51  192  0 2 0
46.99  148  4 0 0
68.49  142  4 2 2
58.11  127  2 3 1
38.39  119  1 2 1
51.45  97  3 1 2
40.38  95  2 0 2

---

(5)
Sc7BCl12: computed powder diffraction line list (a wavelength of 1.5418 Å), based on a cell relaxed with GGA-PBE.
Peak positions follow from Bragg's law for the DFT cell and can differ from measured ones.

```
data_Sc7BCl12
_cell_length_a 13.1854
_cell_length_b 13.1854
_cell_length_c 8.9550
_cell_angle_alpha 90.00
_cell_angle_beta 90.00
_cell_angle_gamma 120.00
_space_group_name_H-M_alt 'R -3'
_space_group_IT_number 148
_space_group_name_Hall '-R 3'
loop_
_atom_site_label
_atom_site_type_symbol
_atom_site_fract_x
_atom_site_fract_y
_atom_site_fract_z
Sc1 Sc 0.0000 0.0000 0.0000
Sc2 Sc 0.0445 0.1631 0.3519
B1 B 0.0000 0.0000 0.5000
Cl1 Cl 0.0247 0.5862 0.1613
Cl2 Cl 0.0492 0.1768 0.8343
```

Top 12 peaks for 10 to 80 degrees two-theta, by intensity:
Position (°2θ)  Rel. int.  h k l
34.69  1000  3 1 2
49.88  602  2 5 0
13.43  248  1 1 0
62.19  181  8 -6 2
29.93  128  0 0 3
18.43  108  0 2 1
32.94  95  2 -1 3
73.21  84  6 2 4
22.87  79  3 -1 1
12.56  74  1 0 1
35.71  48  5 -2 1
39.87  47  2 3 2

---

(6)
CuPO4: computed powder diffraction line list (a wavelength of 1.5418 Å), based on a cell relaxed with GGA-PBE.
Peak positions follow from Bragg's law for the DFT cell and can differ from measured ones.

```
data_CuPO4
_cell_length_a 9.9762
_cell_length_b 6.0292
_cell_length_c 5.3904
_cell_angle_alpha 90.00
_cell_angle_beta 90.00
_cell_angle_gamma 90.00
_space_group_name_H-M_alt 'P n m a'
_space_group_IT_number 62
_space_group_name_Hall '-P 2ac 2n'
loop_
_atom_site_label
_atom_site_type_symbol
_atom_site_fract_x
_atom_site_fract_y
_atom_site_fract_z
Cu1 Cu 0.1835 0.2500 0.1412
P1 P 0.1106 0.7500 0.0611
O1 O 0.0449 0.2500 0.9150
O2 O 0.1447 0.7500 0.7820
O3 O 0.1703 0.5531 0.2121
```

Top 12 peaks for 10 to 80 degrees two-theta, by intensity:
Position (°2θ)  Rel. int.  h k l
18.71  1000  1 0 1
29.63  473  0 2 0
24.31  469  2 0 1
28.52  345  2 1 1
34.47  344  1 0 2
17.78  341  2 0 0
35.28  277  1 2 1
22.12  250  0 1 1
31.61  223  3 0 1
39.83  217  4 0 1
45.88  192  3 1 2
46.08  151  1 2 2